Record 1
Structure and calculated X-ray diffraction stick pattern of HfCo6B3 (a cell relaxed with PBE; copper Kα).
Kinematic intensities with the Lorentz-polarization factor, no thermal factor.

Structural model:
a = 5.657 Å, b = 5.657 Å, c = 5.657 Å
α = 51.14°, β = 51.14°, γ = 51.14°
Fractional coordinates of all 10 atoms:
Hf 0.000 0.000 0.000
Co 0.072 0.576 0.564
Co 0.324 0.430 0.877
Co 0.430 0.877 0.324
Co 0.564 0.072 0.576
Co 0.576 0.564 0.072
Co 0.877 0.324 0.430
B 0.306 0.306 0.306
B 0.639 0.639 0.639
B 0.838 0.838 0.838

Principal peaks in the range 2θ from 10° to 80°, in order of falling intensity:
2θ (°)	intensity
43.2	100
32.3	60
41.3	59
37.2	51
52.9	42
44.6	37
24.3	33
78.3	29

Record 2
Structure and calculated X-ray diffraction stick pattern of LiHo2Pb4 (a cell relaxed with PBE; copper Kα).
Kinematic intensities with the Lorentz-polarization factor, no thermal factor.

Structural model:
a = 6.059 Å, b = 6.669 Å, c = 9.958 Å
α = 90.00°, β = 105.75°, γ = 90.00°
Fractional coordinates of all 14 atoms:
Li 0.053 0.250 0.329
Li 0.947 0.750 0.671
Ho 0.150 0.250 0.931
Ho 0.356 0.750 0.509
Ho 0.644 0.250 0.491
Ho 0.850 0.750 0.069
Pb 0.185 0.250 0.615
Pb 0.306 0.750 0.918
Pb 0.337 0.508 0.222
Pb 0.337 0.992 0.222
Pb 0.663 0.008 0.778
Pb 0.663 0.492 0.778
Pb 0.694 0.250 0.082
Pb 0.815 0.750 0.385

Principal peaks in the range 2θ from 10° to 80°, in order of falling intensity:
2θ (°)	intensity
33.5	100
31.1	76
32.7	72
35.5	59
34.1	33
28.0	27
36.5	26
30.7	23

Record 3
Structure and calculated X-ray diffraction stick pattern of KBePt (a cell relaxed with PBE; copper Kα).
Kinematic intensities with the Lorentz-polarization factor, no thermal factor.

Structural model:
a = 3.813 Å, b = 3.813 Å, c = 5.361 Å
α = 90.00°, β = 90.00°, γ = 120.00°
Fractional coordinates of all 3 atoms:
K 0.000 0.000 0.000
Be 0.333 0.667 0.500
Pt 0.667 0.333 0.500

Principal peaks in the range 2θ from 10° to 80°, in order of falling intensity:
2θ (°)	intensity
31.8	100
27.0	48
16.5	43
43.5	28
59.5	21
47.7	20
33.4	18
58.5	18